Entry 1:
MoP2O7: simulated powder XRD pattern (Cu Kα X-rays), based on DFT lattice parameters and positions (GGA+U).
Intensities are scaled so that the largest is 100.

Peak list (12 most intense, 10° ≤ 2θ ≤ 90°, in order of rising 2θ)
hkl 0 1 1, 2θ 14.39, I = 30
hkl 1 1 0, 2θ 17.15, I = 100
hkl 1 1 -2, 2θ 22.29, I = 35
hkl 2 0 -2, 2θ 27.47, I = 29
hkl 1 2 1, 2θ 28.78, I = 14
hkl 0 2 2, 2θ 29.03, I = 85
hkl 2 1 -2, 2θ 29.56, I = 8
hkl 2 2 0, 2θ 34.70, I = 15
hkl 1 3 0, 2θ 35.32, I = 11
hkl 3 0 -2, 2θ 38.95, I = 10
hkl 3 1 -2, 2θ 40.51, I = 11
hkl 1 3 2, 2θ 42.72, I = 16

Atomic structure:
```
MoP2O7
1.0
7.0245 0.0000 0.0000
0.0000 8.2536 0.0000
-3.2157 0.0000 9.2334
Mo P O
4 8 28
Direct
0.2180 0.2251 0.0098
0.2180 0.2749 0.5098
0.7820 0.7251 0.4902
0.7820 0.7749 0.9902
0.0466 0.5949 0.2967
0.0466 0.9051 0.7967
0.4337 0.0345 0.7970
0.4337 0.4655 0.2970
0.5663 0.5345 0.7030
0.5663 0.9655 0.2030
0.9534 0.0949 0.2033
0.9534 0.4051 0.7033
0.0037 0.7347 0.3843
0.0037 0.7653 0.8843
0.0339 0.0685 0.8691
0.0339 0.4315 0.3691
0.0841 0.0982 0.3630
0.0841 0.4018 0.8630
0.2771 0.6098 0.2984
0.2771 0.8902 0.7984
0.3609 0.0524 0.1569
0.3609 0.4476 0.6569
0.3862 0.0982 0.6419
0.3862 0.4018 0.1419
0.4249 0.1692 0.9015
0.4249 0.3308 0.4015
0.5751 0.6692 0.5985
0.5751 0.8308 0.0985
0.6138 0.5982 0.8581
0.6138 0.9018 0.3581
0.6391 0.5524 0.3431
0.6391 0.9476 0.8431
0.7229 0.1098 0.2016
0.7229 0.3902 0.7016
0.9159 0.5982 0.1370
0.9159 0.9018 0.6370
0.9661 0.5685 0.6309
0.9661 0.9315 0.1309
0.9963 0.2347 0.1157
0.9963 0.2653 0.6157
```

Entry 2:
Mo2P3O13: simulated powder XRD pattern (Cu Kα X-rays), based on DFT lattice parameters and positions (GGA+U).
Intensities are scaled so that the largest is 100.

Peak list (12 most intense, 10° ≤ 2θ ≤ 90°, in order of rising 2θ)
hkl 0 1 0, 2θ 12.84, I = 61
hkl 0 1 1, 2θ 13.80, I = 36
hkl 1 0 0, 2θ 14.11, I = 22
hkl 1 1 0, 2θ 16.96, I = 100
hkl 0 1 2, 2θ 17.90, I = 98
hkl 0 1 -2, 2θ 20.65, I = 94
hkl 1 -1 0, 2θ 21.06, I = 35
hkl 0 2 2, 2θ 27.81, I = 21
hkl 2 0 0, 2θ 28.43, I = 64
hkl 2 1 0, 2θ 28.64, I = 44
hkl 0 0 4, 2θ 28.99, I = 64
hkl 0 2 -2, 2θ 31.47, I = 22

Atomic structure:
```
Mo2P3O13
1.0
6.4331 0.0000 0.0000
1.5497 6.9673 0.0000
0.6026 1.7615 12.3178
Mo P O
4 6 26
Direct
0.2006 0.1713 0.1260
0.2369 0.1974 0.6176
0.7631 0.8026 0.3824
0.7994 0.8287 0.8740
0.1301 0.3923 0.3486
0.2624 0.9844 0.8780
0.2759 0.7482 0.3140
0.7241 0.2518 0.6860
0.7376 0.0156 0.1220
0.8699 0.6077 0.6514
0.0829 0.8043 0.3885
0.0983 0.4992 0.6462
0.1010 0.8504 0.8781
0.1575 0.4093 0.0726
0.1601 0.2267 0.2759
0.2222 0.1551 0.7878
0.2355 0.3050 0.4560
0.2445 0.0591 0.9891
0.2686 0.8784 0.2047
0.2737 0.5345 0.2850
0.3206 0.9577 0.6086
0.4790 0.7250 0.3768
0.4862 0.8504 0.8704
0.5138 0.1496 0.1296
0.5210 0.2750 0.6232
0.6794 0.0423 0.3914
0.7263 0.4655 0.7150
0.7314 0.1216 0.7953
0.7555 0.9409 0.0109
0.7645 0.6950 0.5440
0.7778 0.8449 0.2122
0.8399 0.7733 0.7241
0.8425 0.5907 0.9274
0.8990 0.1496 0.1219
0.9017 0.5008 0.3538
0.9171 0.1957 0.6115
```

Entry 3:
MoP2O7: simulated powder XRD pattern (Cu Kα X-rays), based on DFT lattice parameters and positions (GGA+U).
Intensities are scaled so that the largest is 100.

Peak list (12 most intense, 10° ≤ 2θ ≤ 90°, in order of rising 2θ)
hkl 1 1 1, 2θ 18.32, I = 42
hkl 2 0 0, 2θ 21.18, I = 100
hkl 2 1 0, 2θ 23.72, I = 35
hkl 2 1 1, 2θ 26.02, I = 36
hkl 2 2 0, 2θ 30.13, I = 35
hkl 3 1 1, 2θ 35.49, I = 40
hkl 2 2 2, 2θ 37.13, I = 11
hkl 4 0 2, 2θ 48.54, I = 30
hkl 4 2 2, 2θ 53.52, I = 26
hkl 5 1 1, 2θ 57.05, I = 26
hkl 4 4 0, 2θ 62.65, I = 11
hkl 4 4 2, 2θ 66.93, I = 11

Atomic structure:
```
MoP2O7
1.0
8.3882 0.0000 0.0000
0.0000 8.3882 0.0000
0.0000 0.0000 8.3882
Mo P O
4 8 28
Direct
0.0000 0.0000 0.0000
0.0000 0.5000 0.5000
0.5000 0.0000 0.5000
0.5000 0.5000 0.0000
0.1094 0.6094 0.8906
0.1094 0.8906 0.3906
0.3906 0.1094 0.8906
0.3906 0.3906 0.3906
0.6094 0.6094 0.6094
0.6094 0.8906 0.1094
0.8906 0.1094 0.6094
0.8906 0.3906 0.1094
0.0000 0.0000 0.5000
0.0000 0.5000 0.0000
0.0555 0.7193 0.4120
0.0555 0.7807 0.9120
0.0880 0.5555 0.7193
0.0880 0.9445 0.2193
0.2193 0.0880 0.9445
0.2193 0.4120 0.4445
0.2807 0.5880 0.9445
0.2807 0.9120 0.4445
0.4120 0.0555 0.7193
0.4120 0.4445 0.2193
0.4445 0.2193 0.4120
0.4445 0.2807 0.9120
0.5000 0.0000 0.0000
0.5000 0.5000 0.5000
0.5555 0.7193 0.0880
0.5555 0.7807 0.5880
0.5880 0.5555 0.7807
0.5880 0.9445 0.2807
0.7193 0.0880 0.5555
0.7193 0.4120 0.0555
0.7807 0.5880 0.5555
0.7807 0.9120 0.0555
0.9120 0.0555 0.7807
0.9120 0.4445 0.2807
0.9445 0.2193 0.0880
0.9445 0.2807 0.5880
```